# 1
Starting from the PBE geometry in OQMD, the PXRD pattern of As2Pt2Pb3 was computed for Cu Kα, 1.54184 Å.
Intensities are scaled so that the largest is 100.

Structure:
Cell lengths 4.6608, 4.6608, 26.0441 Å; angles 90.00, 90.00, 120.00 degrees
Space group R3m (No. 160, hexagonal axes)
Symmetry-distinct sites (fractional):
As  0.0000  0.0000  0.0000
As  0.0000  0.0000  0.3771
Pt  0.0000  0.0000  0.1491
Pt  0.0000  0.0000  0.6544
Pb  0.0000  0.0000  0.2628
Pb  0.0000  0.0000  0.5177
Pb  0.0000  0.0000  0.7697

Main lines, by angle (10 to 80 degrees two-theta):
index	2θ/deg	intensity
0 0 6	20.5	12
0 1 2	23.1	32
1 0 4	26.0	13
0 1 8	35.4	100
1 1 0	38.6	95
1 0 10	41.3	14
2 0 8	53.4	31
1 0 16	61.4	12
1 2 8	67.8	31
3 0 0	69.9	17

---

# 2
Starting from the PBE geometry in OQMD, the PXRD pattern of AsPd15 was computed for Cu Kα, 1.54184 Å.
Intensities are scaled so that the largest is 100.

Structure:
Cell lengths 3.910, 3.907, 43.604 Å; angles 90.00, 90.00, 90.00 degrees
Space group Pmma (No. 51)
Symmetry-distinct sites (fractional):
As  0.250  0.000  0.166
Pd  0.250  0.000  0.250
Pd  0.250  0.000  0.341
Pd  0.250  0.000  0.432
Pd  0.250  0.000  0.522
Pd  0.250  0.000  0.613
Pd  0.250  0.000  0.704
Pd  0.250  0.000  0.797
Pd  0.250  0.500  0.203
Pd  0.250  0.500  0.296
Pd  0.250  0.500  0.387
Pd  0.250  0.500  0.478
Pd  0.250  0.500  0.568
Pd  0.250  0.500  0.658
Pd  0.250  0.500  0.750
Pd  0.250  0.500  0.844

Main lines, by angle (10 to 80 degrees two-theta):
index	2θ/deg	intensity
0 0 5	10.1	5
1 1 9	37.5	6
1 1 10	38.6	13
1 1 11	39.8	100
1 1 12	41.0	12
1 1 13	42.4	3
0 0 22	45.8	16
2 0 0	46.5	40
2 0 22	67.3	20
2 2 0	67.8	13